# 1
Rb3YP2O8: theoretical powder diffractogram (copper Kα), based on DFT lattice parameters and positions (GGA-PBE).
Intensities are scaled so that the largest is 100.

Crystal structure
Cell: 5.7997 5.7997 7.9318 Å, 90.00 90.00 120.00°
Positions (direct):
Rb 0.0000 0.0000 0.0000
Rb 0.3333 0.6667 0.7238
Rb 0.6667 0.3333 0.2762
Y 0.0000 0.0000 0.5000
P 0.3333 0.6667 0.2668
P 0.6667 0.3333 0.7332
O 0.1870 0.3740 0.3378
O 0.1870 0.8130 0.3378
O 0.3333 0.6667 0.0749
O 0.3740 0.1870 0.6622
O 0.6260 0.8130 0.3378
O 0.6667 0.3333 0.9251
O 0.8130 0.1870 0.6622
O 0.8130 0.6260 0.6622

Top 10 peaks for 10 to 90 degrees two-theta, low angle first:
hkl, 2θ (°), I (rel.)
0 1 2, 28.68, 100
1 1 0, 30.83, 92
0 2 1, 37.57, 14
2 0 2, 42.61, 45
1 2 2, 53.52, 31
3 0 0, 54.83, 16
1 1 4, 56.20, 26
2 2 0, 64.24, 15
3 1 2, 71.83, 14
3 0 4, 74.14, 18



# 2
Rb2Zn3P4O14: theoretical powder diffractogram (copper Kα), based on DFT lattice parameters and positions (GGA-PBE).
Intensities are scaled so that the largest is 100.

Crystal structure
Cell: 7.3091 7.3432 13.4313 Å, 90.00 92.23 90.00°
Positions (direct):
Rb 0.0537 0.0000 0.0834
Rb 0.3889 0.7428 0.5933
Rb 0.6111 0.2428 0.4067
Rb 0.9463 0.5000 0.9166
Zn 0.2082 0.3699 0.2368
Zn 0.2096 0.2494 0.5985
Zn 0.4516 0.3387 0.8867
Zn 0.5484 0.8387 0.1133
Zn 0.7904 0.7494 0.4015
Zn 0.7918 0.8699 0.7632
P 0.1116 0.0252 0.3921
P 0.1652 0.0374 0.8101
P 0.3644 0.7359 0.3162
P 0.4329 0.7617 0.8881
P 0.5671 0.2617 0.1119
P 0.6356 0.2359 0.6838
P 0.8348 0.5374 0.1899
P 0.8884 0.5252 0.6079
O 0.0029 0.9352 0.8535
O 0.0865 0.4856 0.5796
O 0.1228 0.1400 0.2982
O 0.1268 0.0849 0.7008
O 0.1870 0.8212 0.3684
O 0.2232 0.1962 0.8785
O 0.2337 0.0960 0.4791
O 0.3373 0.5791 0.8673
O 0.3389 0.8994 0.8055
O 0.3426 0.5292 0.3316
O 0.3521 0.7901 0.2063
O 0.3641 0.2606 0.1348
O 0.3926 0.8388 0.9908
O 0.4706 0.3157 0.6247
O 0.5294 0.8157 0.3753
O 0.6074 0.3388 0.0092
O 0.6359 0.7606 0.8652
O 0.6479 0.2901 0.7937
O 0.6574 0.0292 0.6684
O 0.6611 0.3994 0.1945
O 0.6627 0.0791 0.1327
O 0.7663 0.5960 0.5209
O 0.7768 0.6962 0.1215
O 0.8130 0.3212 0.6316
O 0.8732 0.5849 0.2992
O 0.8772 0.6400 0.7018
O 0.9135 0.9856 0.4204
O 0.9971 0.4352 0.1465

Top 10 peaks for 10 to 90 degrees two-theta, low angle first:
hkl, 2θ (°), I (rel.)
0 1 3, 23.28, 57
1 0 3, 23.72, 17
2 0 -1, 25.02, 20
0 2 1, 25.15, 18
0 0 4, 26.57, 26
1 1 3, 26.69, 16
1 2 0, 27.22, 100
2 1 -1, 27.87, 15
2 1 1, 28.31, 18
1 2 3, 34.18, 20



# 3
Re2P2O11: theoretical powder diffractogram (copper Kα), based on DFT lattice parameters and positions (GGA-PBE).
Intensities are scaled so that the largest is 100.

Crystal structure
Cell: 15.4933 6.4005 7.9253 Å, 90.00 90.00 90.00°
Positions (direct):
Re 0.0297 0.2500 0.2422
Re 0.2136 0.2500 0.9484
Re 0.2864 0.7500 0.4484
Re 0.4703 0.7500 0.7422
Re 0.5297 0.2500 0.2578
Re 0.7136 0.2500 0.5516
Re 0.7864 0.7500 0.0516
Re 0.9703 0.7500 0.7578
P 0.0666 0.7500 0.3589
P 0.2389 0.2500 0.3769
P 0.2611 0.7500 0.8769
P 0.4334 0.2500 0.8589
P 0.5666 0.7500 0.1411
P 0.7389 0.2500 0.1231
P 0.7611 0.7500 0.6231
P 0.9334 0.2500 0.6411
O 0.0325 0.5607 0.2599
O 0.0325 0.9393 0.2599
O 0.0348 0.7500 0.5423
O 0.0593 0.7500 0.8854
O 0.1094 0.2500 0.0661
O 0.1394 0.2500 0.3925
O 0.1659 0.7500 0.3613
O 0.1670 0.2500 0.7530
O 0.2224 0.5591 0.9723
O 0.2224 0.9409 0.9723
O 0.2317 0.7500 0.6912
O 0.2683 0.2500 0.1912
O 0.2776 0.0591 0.4723
O 0.2776 0.4409 0.4723
O 0.3330 0.7500 0.2530
O 0.3341 0.2500 0.8613
O 0.3606 0.7500 0.8925
O 0.3906 0.7500 0.5661
O 0.4407 0.2500 0.3854
O 0.4652 0.2500 0.0423
O 0.4675 0.0607 0.7599
O 0.4675 0.4393 0.7599
O 0.5325 0.5607 0.2401
O 0.5325 0.9393 0.2401
O 0.5348 0.7500 0.9577
O 0.5593 0.7500 0.6146
O 0.6094 0.2500 0.4339
O 0.6394 0.2500 0.1075
O 0.6659 0.7500 0.1387
O 0.6670 0.2500 0.7470
O 0.7224 0.5591 0.5277
O 0.7224 0.9409 0.5277
O 0.7317 0.7500 0.8088
O 0.7683 0.2500 0.3088
O 0.7776 0.0591 0.0277
O 0.7776 0.4409 0.0277
O 0.8330 0.7500 0.2470
O 0.8341 0.2500 0.6387
O 0.8606 0.7500 0.6075
O 0.8906 0.7500 0.9339
O 0.9407 0.2500 0.1146
O 0.9652 0.2500 0.4577
O 0.9675 0.0607 0.7401
O 0.9675 0.4393 0.7401

Top 10 peaks for 10 to 90 degrees two-theta, low angle first:
hkl, 2θ (°), I (rel.)
0 1 1, 17.81, 36
1 1 1, 18.72, 94
2 1 1, 21.21, 90
4 0 0, 22.96, 54
1 0 2, 23.17, 36
2 0 2, 25.24, 100
4 0 1, 25.60, 41
0 2 0, 27.88, 91
4 1 2, 35.31, 38
0 4 0, 57.61, 35